No. 1
Cs2Rb4I3Br2: computed X-ray diffraction stick pattern (Cu Kα (weighted mean of Kα1 and Kα2)), based on the GGA-PBE geometry in Alexandria.
Lines closer than 0.1° are merged.

Top 6 peaks for 15° ≤ 2θ ≤ 90°, by angle:
d = 4.649 Å, 2θ = 19.09°, I 37, hkl 1 1 0; d = 3.545 Å, 2θ = 25.12°, I 90, hkl 1 0 7; d = 3.376 Å, 2θ = 26.40°, I 37, hkl 1 1 6; d = 3.287 Å, 2θ = 27.13°, I 100, hkl 2 0 0; d = 2.411 Å, 2θ = 37.30°, I 63, hkl 2 1 7; d = 2.324 Å, 2θ = 38.74°, I 38, hkl 2 2 0

Cell and atoms:
a b c (Å): 6.5746 6.5746 29.4704
angles (deg): 90.00 90.00 90.00
Space group I4/mmm (No. 139)
Symmetry-distinct sites (fractional):
Cs (0.0000, 0.0000, 0.2152) x4
Rb (0.0000, 0.5000, 0.0827) x8
I (0.0000, 0.0000, 0.3456) x4
I (0.0000, 0.0000, 0.5000) x2
Br (0.0000, 0.0000, 0.0929) x4

=====

No. 2
Th4Tl3Hg: computed X-ray diffraction stick pattern (Cu Kα (weighted mean of Kα1 and Kα2)), based on the GGA-PBE geometry in Alexandria.
Lines closer than 0.1° are merged.

Top 6 peaks for 15° ≤ 2θ ≤ 90°, by angle:
d = 2.804 Å, 2θ = 31.92°, I 100, hkl 2 2 0; d = 2.497 Å, 2θ = 35.96°, I 37, hkl 2 0 4; d = 2.306 Å, 2θ = 39.06°, I 15, hkl 0 4 0; d = 1.694 Å, 2θ = 54.14°, I 23, hkl 2 4 4; d = 1.496 Å, 2θ = 62.04°, I 15, hkl 2 2 8; d = 1.492 Å, 2θ = 62.21°, I 15, hkl 4 2 4

Cell and atoms:
a b c (Å): 7.0470 9.2232 14.1587
angles (deg): 90.00 90.00 90.00
Space group Fmmm (No. 69)
Symmetry-distinct sites (fractional):
Th (0.2500, 0.2500, 0.1239) x16
Tl (0.0000, 0.0000, 0.0000) x4
Tl (0.0000, 0.0000, 0.2507) x8
Hg (0.0000, 0.0000, 0.5000) x4

=====

No. 3
KDy4S6: computed X-ray diffraction stick pattern (Cu Kα (weighted mean of Kα1 and Kα2)), based on the GGA-PBE geometry in Alexandria.
Lines closer than 0.1° are merged.

Top 6 peaks for 15° ≤ 2θ ≤ 90°, by angle:
d = 3.526 Å, 2θ = 25.26°, I 100, hkl 0 2 5; d = 2.907 Å, 2θ = 30.76°, I 44, hkl 1 3 1; d = 2.826 Å, 2θ = 31.67°, I 51, hkl 1 3 2; d = 2.705 Å, 2θ = 33.12°, I 53, hkl 1 3 3; d = 2.020 Å, 2θ = 44.86°, I 45, hkl 1 5 4; d = 1.976 Å, 2θ = 45.93°, I 49, hkl 2 0 0

Cell and atoms:
a b c (Å): 3.9489 13.1627 20.8792
angles (deg): 90.00 90.00 90.00
Space group Cmcm (No. 63)
Symmetry-distinct sites (fractional):
K (0.0000, 0.1514, 0.2500) x4
Dy (0.0000, 0.1004, 0.6342) x8
Dy (0.0000, 0.3689, 0.5417) x8
S (0.0000, 0.0000, 0.0000) x4
S (0.0000, 0.1666, 0.7500) x4
S (0.0000, 0.2715, 0.0790) x8
S (0.0000, 0.4654, 0.6525) x8